(1)
Structure and theoretical XRD peak list of Hg9Bi4Pb11 (a DFT-relaxed cell (PBE, Alexandria); a wavelength of 1.5418 Å).
No peak broadening, texture or thermal motion is included.

Most intense lines, 5 to 70 degrees two-theta, most intense first:
| 2θ/deg | I/Imax |
| --- | --- |
| 31.1 | 100.0 |
| 32.2 | 99.6 |
| 34.1 | 80.5 |
| 41.5 | 42.4 |
| 54.8 | 40.5 |
| 29.7 | 38.9 |
| 62.4 | 26.1 |
| 35.9 | 24.3 |

Structural model:
a b c (Å): 13.262 13.262 4.347
angles (deg): 90.00 90.00 109.44
Atoms (fractional coordinates):
Hg  0.000  0.000  0.000
Hg  0.115  0.646  0.000
Hg  0.302  0.481  0.000
Hg  0.354  0.885  0.000
Hg  0.481  0.302  0.000
Hg  0.519  0.698  0.000
Hg  0.646  0.115  0.000
Hg  0.698  0.519  0.000
Hg  0.885  0.354  0.000
Bi  0.069  0.247  0.000
Bi  0.247  0.069  0.000
Bi  0.753  0.931  0.000
Bi  0.931  0.753  0.000
Pb  0.100  0.446  0.500
Pb  0.144  0.856  0.500
Pb  0.273  0.273  0.500
Pb  0.310  0.690  0.500
Pb  0.446  0.100  0.500
Pb  0.500  0.500  0.500
Pb  0.554  0.900  0.500
Pb  0.690  0.310  0.500
Pb  0.727  0.727  0.500
Pb  0.856  0.144  0.500
Pb  0.900  0.554  0.500

=====

(2)
Structure and theoretical XRD peak list of Hg5BiPb7 (a DFT-relaxed cell (PBE, Alexandria); a wavelength of 1.5418 Å).
No peak broadening, texture or thermal motion is included.

Most intense lines, 5 to 70 degrees two-theta, most intense first:
| 2θ/deg | I/Imax |
| --- | --- |
| 31.3 | 100.0 |
| 31.4 | 34.7 |
| 39.5 | 25.0 |
| 63.2 | 17.4 |
| 48.7 | 16.8 |
| 66.6 | 12.2 |
| 34.4 | 11.9 |
| 41.2 | 9.2 |

Structural model:
a b c (Å): 9.619 9.619 4.560
angles (deg): 103.58 103.58 87.38
Atoms (fractional coordinates):
Hg  0.000  0.000  0.000
Hg  0.214  0.805  0.511
Hg  0.427  0.809  0.120
Hg  0.805  0.214  0.511
Hg  0.809  0.427  0.120
Bi  0.813  0.813  0.318
Pb  0.006  0.635  0.830
Pb  0.162  0.162  0.665
Pb  0.171  0.430  0.306
Pb  0.430  0.171  0.306
Pb  0.433  0.433  0.939
Pb  0.629  0.629  0.631
Pb  0.635  0.006  0.830